# Re2SbO6
Simulated X-ray diffraction stick pattern, Cu Ka. Input: a PBE-relaxed structure.
Peak positions follow from Bragg's law for the DFT cell and can differ from measured ones.

Top 12 peaks for 2θ from 5° to 70°, in order of falling intensity:
2θ (°)  d_spacing  intensity  h k l
28.95  3.084  100.0  3 1 -1
24.68  3.608  68.5  1 1 1
24.51  3.631  60.8  1 1 -1
10.89  8.128  51.3  2 0 0
29.36  3.042  44.3  3 1 1
33.06  2.709  37.7  6 0 0
33.82  2.650  31.5  2 0 -2
39.66  2.272  31.4  4 0 2
46.43  1.956  31.2  7 1 1
50.25  1.816  28.3  2 2 -2
36.03  2.492  24.6  0 2 0
56.31  1.634  24.3  9 1 -1

Structure:
Cell lengths 16.260, 4.985, 5.566 Å; angles 90.00, 91.28, 90.00 degrees
Space group C2/c (No. 15)
Unique sites:
Re (0.181, 0.233, 0.391) [8 per cell]
Sb (0.000, 0.304, 0.750) [4 per cell]
O (0.069, 0.411, 0.426) [8 per cell]
O (0.140, 0.024, 0.119) [8 per cell]
O (0.216, 0.481, 0.669) [8 per cell]


# Re2Sb4O13
Simulated X-ray diffraction stick pattern, Cu Ka. Input: a PBE-relaxed structure.
Peak positions follow from Bragg's law for the DFT cell and can differ from measured ones.

Top 12 peaks for 2θ from 5° to 70°, in order of falling intensity:
2θ (°)  d_spacing  intensity  h k l
25.40  3.507  100.0  0 2 2
20.33  4.367  62.5  1 -1 1
27.91  3.197  54.3  1 0 3
25.60  3.480  46.0  2 0 0
26.22  3.399  42.3  2 2 2
27.47  3.247  28.4  1 1 -2
29.32  3.046  24.6  1 -2 1
45.37  1.999  21.8  1 2 5
29.76  3.002  21.5  2 0 -1
29.46  3.032  17.5  1 3 0
24.71  3.603  15.2  2 0 1
30.66  2.916  13.8  2 2 3

Structure:
Cell lengths 7.892, 9.574, 10.213 Å; angles 72.59, 68.82, 66.58 degrees
Space group P-1 (No. 2)
Unique sites:
Re (0.154, 0.171, 0.133) [2 per cell]
Re (0.319, 0.046, 0.718) [2 per cell]
Sb (0.209, 0.762, 0.461) [2 per cell]
Sb (0.210, 0.405, 0.390) [2 per cell]
Sb (0.301, 0.653, 0.058) [2 per cell]
Sb (0.330, 0.460, 0.767) [2 per cell]
O (0.054, 0.692, 0.918) [2 per cell]
O (0.073, 0.594, 0.505) [2 per cell]
O (0.140, 0.122, 0.863) [2 per cell]
O (0.140, 0.203, 0.298) [2 per cell]
O (0.154, 0.523, 0.207) [2 per cell]
O (0.159, 0.980, 0.162) [2 per cell]
O (0.211, 0.068, 0.586) [2 per cell]
O (0.342, 0.644, 0.611) [2 per cell]
O (0.364, 0.196, 0.006) [2 per cell]
O (0.381, 0.634, 0.306) [2 per cell]
O (0.427, 0.506, 0.908) [2 per cell]
O (0.435, 0.849, 0.771) [2 per cell]
O (0.481, 0.153, 0.649) [2 per cell]


# ScRe2O6
Simulated X-ray diffraction stick pattern, Cu Ka. Input: a PBE-relaxed structure.
Peak positions follow from Bragg's law for the DFT cell and can differ from measured ones.

Top 12 peaks for 2θ from 5° to 70°, in order of falling intensity:
2θ (°)  d_spacing  intensity  h k l
26.02  3.425  100.0  1 1 -1
11.79  7.505  52.1  1 0 0
35.66  2.518  45.2  2 1 1
24.20  3.677  29.9  0 1 1
52.43  1.745  23.9  3 2 0
35.90  2.502  16.9  3 0 0
53.51  1.712  16.5  2 2 -2
52.76  1.735  14.8  4 1 -1
52.26  1.750  13.7  1 2 2
32.52  2.753  12.6  1 0 -2
36.94  2.434  12.4  0 2 0
37.31  2.410  11.5  2 0 -2

Structure:
Cell lengths 7.575, 4.867, 5.665 Å; angles 90.00, 97.80, 90.00 degrees
Space group P2_1/c (No. 14)
Unique sites:
Sc (0.000, 0.000, 0.000) [2 per cell]
Re (0.350, 0.009, 0.371) [4 per cell]
O (0.117, 0.675, 0.826) [4 per cell]
O (0.253, 0.216, 0.078) [4 per cell]
O (0.430, 0.731, 0.158) [4 per cell]